Diffraction record for NaW6CCl18. The XRD peak list is calculated, not measured: it uses a DFT-relaxed cell (PBE, the Materials Project) and CuKα.

Crystal structure
a b c (Å): 9.2719 9.2719 18.0603
angles (deg): 90.00 90.00 120.00
Positions (direct):
1 Na 0.0000 0.0000 0.0000
2 Na 0.0000 0.0000 0.5000
3 W 0.1815 0.6958 0.1668
4 W 0.1815 0.6958 0.3332
5 W 0.3042 0.4858 0.1668
6 W 0.3042 0.4858 0.3332
7 W 0.4858 0.1815 0.6668
8 W 0.4858 0.1815 0.8332
9 W 0.5142 0.8185 0.1668
10 W 0.5142 0.8185 0.3332
11 W 0.6958 0.5142 0.6668
12 W 0.6958 0.5142 0.8332
13 W 0.8185 0.3042 0.6668
14 W 0.8185 0.3042 0.8332
15 C 0.3333 0.6667 0.2500
16 C 0.6667 0.3333 0.7500
17 Cl 0.0299 0.2648 0.6026
18 Cl 0.0299 0.2648 0.8974
19 Cl 0.0507 0.4823 0.7500
20 Cl 0.0876 0.2850 0.2500
21 Cl 0.1102 0.4791 0.0770
22 Cl 0.1102 0.4791 0.4230
23 Cl 0.1974 0.9124 0.2500
24 Cl 0.2350 0.9701 0.6026
25 Cl 0.2350 0.9701 0.8974
26 Cl 0.2648 0.2350 0.1026
27 Cl 0.2648 0.2350 0.3974
28 Cl 0.2850 0.1974 0.7500
29 Cl 0.3689 0.8898 0.0770
30 Cl 0.3689 0.8898 0.4230
31 Cl 0.4316 0.9493 0.7500
32 Cl 0.4791 0.3689 0.5770
33 Cl 0.4791 0.3689 0.9230
34 Cl 0.4823 0.4316 0.2500
35 Cl 0.5177 0.5684 0.7500
36 Cl 0.5209 0.6311 0.0770
37 Cl 0.5209 0.6311 0.4230
38 Cl 0.5684 0.0507 0.2500
39 Cl 0.6311 0.1102 0.5770
40 Cl 0.6311 0.1102 0.9230
41 Cl 0.7150 0.8026 0.2500
42 Cl 0.7352 0.7650 0.6026
43 Cl 0.7352 0.7650 0.8974
44 Cl 0.7650 0.0299 0.1026
45 Cl 0.7650 0.0299 0.3974
46 Cl 0.8026 0.0876 0.7500
47 Cl 0.8898 0.5209 0.5770
48 Cl 0.8898 0.5209 0.9230
49 Cl 0.9124 0.7150 0.7500
50 Cl 0.9493 0.5177 0.2500
51 Cl 0.9701 0.7352 0.1026
52 Cl 0.9701 0.7352 0.3974

Main lines, by intensity (2θ from 10° to 90°):
2θ/deg, d [Å], I_rel
12.06, 7.337, 100
42.29, 2.137, 18
11.02, 8.030, 16
27.07, 3.294, 10
39.18, 2.299, 8
19.77, 4.490, 8
40.83, 2.210, 7
46.55, 1.951, 7
33.05, 2.710, 7
47.99, 1.896, 6



Diffraction record for Pr5Co2B6. The XRD peak list is calculated, not measured: it uses a DFT-relaxed cell (PBE, the Materials Project) and CuKα.

Crystal structure
a b c (Å): 8.9194 8.9194 8.9194
angles (deg): 35.85 35.85 35.85
Positions (direct):
1 Pr 0.0000 0.0000 0.0000
2 Pr 0.2506 0.2506 0.2506
3 Pr 0.4172 0.4172 0.4172
4 Pr 0.5828 0.5828 0.5828
5 Pr 0.7494 0.7494 0.7494
6 Co 0.1239 0.1239 0.1239
7 Co 0.8761 0.8761 0.8761
8 B 0.1671 0.5000 0.8329
9 B 0.1671 0.8329 0.5000
10 B 0.5000 0.1671 0.8329
11 B 0.5000 0.8329 0.1671
12 B 0.8329 0.1671 0.5000
13 B 0.8329 0.5000 0.1671

Main lines, by intensity (2θ from 10° to 90°):
2θ/deg, d [Å], I_rel
32.62, 2.745, 100
31.31, 2.856, 40
39.30, 2.293, 38
34.33, 2.612, 23
25.85, 3.446, 23
55.34, 1.660, 22
58.21, 1.585, 22
21.31, 4.169, 21
57.39, 1.606, 14
45.84, 1.979, 14



What did the first record say?
Diffraction record for NaW6CCl18. The XRD peak list is calculated, not measured: it uses a DFT-relaxed cell (PBE, the Materials Project) and CuKα.

Crystal structure
a b c (Å): 9.2719 9.2719 18.0603
angles (deg): 90.00 90.00 120.00
Positions (direct):
1 Na 0.0000 0.0000 0.0000
2 Na 0.0000 0.0000 0.5000
3 W 0.1815 0.6958 0.1668
4 W 0.1815 0.6958 0.3332
5 W 0.3042 0.4858 0.1668
6 W 0.3042 0.4858 0.3332
7 W 0.4858 0.1815 0.6668
8 W 0.4858 0.1815 0.8332
9 W 0.5142 0.8185 0.1668
10 W 0.5142 0.8185 0.3332
11 W 0.6958 0.5142 0.6668
12 W 0.6958 0.5142 0.8332
13 W 0.8185 0.3042 0.6668
14 W 0.8185 0.3042 0.8332
15 C 0.3333 0.6667 0.2500
16 C 0.6667 0.3333 0.7500
17 Cl 0.0299 0.2648 0.6026
18 Cl 0.0299 0.2648 0.8974
19 Cl 0.0507 0.4823 0.7500
20 Cl 0.0876 0.2850 0.2500
21 Cl 0.1102 0.4791 0.0770
22 Cl 0.1102 0.4791 0.4230
23 Cl 0.1974 0.9124 0.2500
24 Cl 0.2350 0.9701 0.6026
25 Cl 0.2350 0.9701 0.8974
26 Cl 0.2648 0.2350 0.1026
27 Cl 0.2648 0.2350 0.3974
28 Cl 0.2850 0.1974 0.7500
29 Cl 0.3689 0.8898 0.0770
30 Cl 0.3689 0.8898 0.4230
31 Cl 0.4316 0.9493 0.7500
32 Cl 0.4791 0.3689 0.5770
33 Cl 0.4791 0.3689 0.9230
34 Cl 0.4823 0.4316 0.2500
35 Cl 0.5177 0.5684 0.7500
36 Cl 0.5209 0.6311 0.0770
37 Cl 0.5209 0.6311 0.4230
38 Cl 0.5684 0.0507 0.2500
39 Cl 0.6311 0.1102 0.5770
40 Cl 0.6311 0.1102 0.9230
41 Cl 0.7150 0.8026 0.2500
42 Cl 0.7352 0.7650 0.6026
43 Cl 0.7352 0.7650 0.8974
44 Cl 0.7650 0.0299 0.1026
45 Cl 0.7650 0.0299 0.3974
46 Cl 0.8026 0.0876 0.7500
47 Cl 0.8898 0.5209 0.5770
48 Cl 0.8898 0.5209 0.9230
49 Cl 0.9124 0.7150 0.7500
50 Cl 0.9493 0.5177 0.2500
51 Cl 0.9701 0.7352 0.1026
52 Cl 0.9701 0.7352 0.3974

Main lines, by intensity (2θ from 10° to 90°):
2θ/deg, d [Å], I_rel
12.06, 7.337, 100
42.29, 2.137, 18
11.02, 8.030, 16
27.07, 3.294, 10
39.18, 2.299, 8
19.77, 4.490, 8
40.83, 2.210, 7
46.55, 1.951, 7
33.05, 2.710, 7
47.99, 1.896, 6